La2Dy5TmTh: calculated powder diffractogram (CuKα), based on DFT lattice parameters and positions (GGA-PBE).
Lines closer than 0.1° are merged.

Structure:
```
18
Lattice="2.8133 -9.8687 0.0000 2.8133 9.8687 0.0000 0.0000 0.0000 10.9241" Properties=species:S:1:pos:R:3 pbc="T T T"
La 2.8133 7.5839 5.4621
La 2.8133 7.5811 10.0473
La 2.8133 -7.5839 0.0000
La 2.8133 -7.5811 4.5852
Dy 2.8133 9.5830 2.3038
Dy 2.8133 4.3361 5.4377
Dy 2.8133 3.9722 9.7615
Dy 2.8133 2.1947 2.2370
Dy 2.8133 0.3596 10.0805
Dy 2.8133 -0.3596 4.6185
Dy 2.8133 -2.1947 7.6990
Dy 2.8133 -3.9722 4.2994
Dy 2.8133 -4.3361 10.8998
Dy 2.8133 -9.5830 7.7659
Tm 2.8133 5.9000 2.1208
Tm 2.8133 -5.9000 7.5829
Th 2.8133 1.6499 7.0664
Th 2.8133 -1.6499 1.6043
```

Peak list (6 most intense, 5 to 70 degrees two-theta, by angle)
2θ 28.33, I 16.1
2θ 29.57, I 33.3
2θ 31.80, I 42.2
2θ 32.18, I 100.0
2θ 32.79, I 14.1
2θ 56.93, I 27.7